# TbDyY2
Computed PXRD pattern, λ = 1.5418 Å (Cu Kα). Input: the GGA-PBE geometry in Alexandria.

Main lines, sorted by position (10° ≤ 2θ ≤ 80°):
2theta, I_rel
28.83, 186
29.18, 344
31.15, 499
31.57, 1000
34.11, 841
50.86, 375
54.00, 209
60.85, 435

Structure:
Cell: 11.6721 11.6721 11.6721 Å, 17.69 17.69 17.69°
Sites, in units of the cell vectors:
Tb 0.0000 0.0000 0.0000
Dy 0.8340 0.8340 0.8340
Y 0.4173 0.4173 0.4173
Y 0.5831 0.5831 0.5831

# Tb3Dy12Y
Computed PXRD pattern, λ = 1.5418 Å (Cu Kα). Input: the GGA-PBE geometry in Alexandria.

Main lines, sorted by position (10° ≤ 2θ ≤ 80°):
2theta, I_rel
30.87, 1000
35.79, 506
51.51, 360
61.27, 427
64.31, 123
75.84, 57

Structure:
Cell: 5.0193 5.0193 20.0579 Å, 90.00 90.00 90.00°
Sites, in units of the cell vectors:
Tb 0.0000 0.0000 0.0000
Tb 0.0000 0.0000 0.2498
Tb 0.0000 0.0000 0.7502
Dy 0.0000 0.5000 0.1249
Dy 0.0000 0.5000 0.3746
Dy 0.0000 0.5000 0.6254
Dy 0.0000 0.5000 0.8751
Dy 0.5000 0.0000 0.1249
Dy 0.5000 0.0000 0.3746
Dy 0.5000 0.0000 0.6254
Dy 0.5000 0.0000 0.8751
Dy 0.5000 0.5000 0.0000
Dy 0.5000 0.5000 0.2499
Dy 0.5000 0.5000 0.5000
Dy 0.5000 0.5000 0.7501
Y 0.0000 0.0000 0.5000

# Tb3DyY7
Computed PXRD pattern, λ = 1.5418 Å (Cu Kα). Input: the GGA-PBE geometry in Alexandria.

Main lines, sorted by position (10° ≤ 2θ ≤ 80°):
2theta, I_rel
18.56, 169
18.82, 190
31.92, 1000
31.98, 175
32.17, 179
32.29, 432
32.75, 515
57.35, 192

Structure:
Cell: 6.9240 5.5447 10.0256 Å, 90.00 109.86 90.00°
Sites, in units of the cell vectors:
Tb 0.0000 0.0000 0.0000
Tb 0.2792 0.5000 0.4983
Tb 0.7208 0.5000 0.5017
Dy 0.5000 0.0000 0.0000
Y 0.0000 0.0000 0.5000
Y 0.1464 0.5000 0.7889
Y 0.3183 0.5000 0.1374
Y 0.4181 0.0000 0.3299
Y 0.5819 0.0000 0.6701
Y 0.6817 0.5000 0.8626
Y 0.8536 0.5000 0.2111

# Tb6Dy8Y
Computed PXRD pattern, λ = 1.5418 Å (Cu Kα). Input: the GGA-PBE geometry in Alexandria.

Main lines, sorted by position (10° ≤ 2θ ≤ 80°):
2theta, I_rel
18.88, 145
25.82, 351
29.57, 162
32.19, 787
33.01, 693
33.51, 1000
35.86, 141
50.87, 230

Structure:
Cell: 9.3988 9.3988 6.5056 Å, 90.00 90.00 120.00°
Sites, in units of the cell vectors:
Tb 0.0916 0.4118 0.4056
Tb 0.3202 0.9084 0.4056
Tb 0.4118 0.3202 0.5944
Tb 0.5882 0.6798 0.4056
Tb 0.6798 0.0916 0.5944
Tb 0.9084 0.5882 0.5944
Dy 0.0218 0.6898 0.1012
Dy 0.3102 0.3321 0.1012
Dy 0.3321 0.0218 0.8988
Dy 0.3333 0.6667 0.8382
Dy 0.6667 0.3333 0.1618
Dy 0.6679 0.9782 0.1012
Dy 0.6898 0.6679 0.8988
Dy 0.9782 0.3102 0.8988
Y 0.0000 0.0000 0.5000

# Tb3Dy4Y
Computed PXRD pattern, λ = 1.5418 Å (Cu Kα). Input: the GGA-PBE geometry in Alexandria.

Main lines, sorted by position (10° ≤ 2θ ≤ 80°):
2theta, I_rel
28.36, 241
31.75, 238
32.58, 1000
43.08, 157
50.20, 199
57.09, 203
60.63, 225
61.14, 165

Structure:
Cell: 11.2729 7.2748 6.2897 Å, 90.00 90.00 90.00°
Sites, in units of the cell vectors:
Tb 0.0000 0.1257 0.0000
Tb 0.2503 0.1257 0.3336
Tb 0.2497 0.8743 0.8336
Tb 0.5000 0.8743 0.5000
Tb 0.7497 0.1257 0.3336
Tb 0.7503 0.8743 0.8336
Dy 0.0000 0.3752 0.4997
Dy 0.0000 0.6240 0.0000
Dy 0.2497 0.3757 0.8318
Dy 0.2503 0.6243 0.3318
Dy 0.5000 0.3760 0.5000
Dy 0.5000 0.6248 0.9997
Dy 0.7503 0.3757 0.8318
Dy 0.7497 0.6243 0.3318
Y 0.0000 0.8745 0.4997
Y 0.5000 0.1255 0.9997

# Tb2Dy6Y5
Computed PXRD pattern, λ = 1.5418 Å (Cu Kα). Input: the GGA-PBE geometry in Alexandria.

Main lines, sorted by position (10° ≤ 2θ ≤ 80°):
2theta, I_rel
27.49, 398
31.10, 621
31.51, 480
31.90, 857
32.18, 1000
34.30, 356
36.64, 344
61.33, 262

Structure:
Cell: 11.6187 20.2558 3.5881 Å, 90.00 90.00 90.00°
Sites, in units of the cell vectors:
Tb 0.1672 0.2110 0.0000
Tb 0.3328 0.7110 0.0000
Tb 0.6672 0.2890 0.0000
Tb 0.8328 0.7890 0.0000
Dy 0.0610 0.9202 0.0000
Dy 0.0827 0.6326 0.0000
Dy 0.1718 0.3650 0.5000
Dy 0.3282 0.8650 0.5000
Dy 0.4173 0.1326 0.0000
Dy 0.4390 0.4202 0.0000
Dy 0.5610 0.5798 0.0000
Dy 0.5827 0.8674 0.0000
Dy 0.6718 0.1350 0.5000
Dy 0.8282 0.6350 0.5000
Dy 0.9173 0.3674 0.0000
Dy 0.9390 0.0798 0.0000
Y 0.0000 0.5000 0.5000
Y 0.0906 0.7746 0.5000
Y 0.1977 0.0518 0.5000
Y 0.3023 0.5518 0.5000
Y 0.4094 0.2746 0.5000
Y 0.5000 0.0000 0.5000
Y 0.5906 0.7254 0.5000
Y 0.6977 0.4482 0.5000
Y 0.8023 0.9482 0.5000
Y 0.9094 0.2254 0.5000

# Tb7Dy4Y2
Computed PXRD pattern, λ = 1.5418 Å (Cu Kα). Input: the GGA-PBE geometry in Alexandria.

Main lines, sorted by position (10° ≤ 2θ ≤ 80°):
2theta, I_rel
26.38, 199
27.02, 195
30.13, 600
32.39, 1000
33.97, 185
35.87, 319
51.23, 180
52.04, 314

Structure:
Cell: 6.0874 6.0874 13.2013 Å, 90.00 90.00 120.00°
Sites, in units of the cell vectors:
Tb 0.0000 0.0000 0.0000
Tb 0.0000 0.3595 0.2178
Tb 0.0000 0.6405 0.7822
Tb 0.3595 0.0000 0.2178
Tb 0.3595 0.3595 0.7822
Tb 0.6405 0.0000 0.7822
Tb 0.6405 0.6405 0.2178
Dy 0.0000 0.0000 0.3932
Dy 0.0000 0.0000 0.6068
Dy 0.3333 0.6667 0.5000
Dy 0.6667 0.3333 0.5000
Y 0.3333 0.6667 0.0000
Y 0.6667 0.3333 0.0000

# Tb5Dy12Y
Computed PXRD pattern, λ = 1.5418 Å (Cu Kα). Input: the GGA-PBE geometry in Alexandria.

Main lines, sorted by position (10° ≤ 2θ ≤ 80°):
2theta, I_rel
30.86, 1000
35.75, 338
35.83, 168
51.52, 299
61.21, 285
61.32, 142
64.24, 62
64.34, 61

Structure:
Cell: 10.6436 10.6436 6.1455 Å, 106.64 106.64 60.00°
Sites, in units of the cell vectors:
Tb 0.0000 0.0000 0.0000
Tb 0.1667 0.1667 0.4993
Tb 0.3332 0.3332 0.9989
Tb 0.6668 0.6668 0.0011
Tb 0.8333 0.8333 0.5007
Dy 0.9997 0.3335 0.9995
Dy 0.0003 0.6665 0.0005
Dy 0.1662 0.5002 0.5000
Dy 0.1664 0.8336 0.5000
Dy 0.3335 0.9997 0.9995
Dy 0.3329 0.6671 0.0000
Dy 0.5002 0.1662 0.5000
Dy 0.4998 0.8338 0.5000
Dy 0.6665 0.0003 0.0005
Dy 0.6671 0.3329 0.0000
Dy 0.8336 0.1664 0.5000
Dy 0.8338 0.4998 0.5000
Y 0.5000 0.5000 0.5000

# TbDy8Y5
Computed PXRD pattern, λ = 1.5418 Å (Cu Kα). Input: the GGA-PBE geometry in Alexandria.

Main lines, sorted by position (10° ≤ 2θ ≤ 80°):
2theta, I_rel
22.58, 358
28.05, 802
29.40, 763
29.56, 831
31.85, 261
33.85, 1000
34.57, 702
35.00, 692

Structure:
Cell: 8.4421 8.4421 8.4421 Å, 111.06 111.06 106.33°
Sites, in units of the cell vectors:
Tb 0.0000 0.0000 0.0000
Dy 0.0879 0.6717 0.7644
Dy 0.1725 0.2768 0.7560
Dy 0.3283 0.0927 0.4162
Dy 0.5208 0.4165 0.2440
Dy 0.5835 0.8275 0.1044
Dy 0.6764 0.9121 0.5838
Dy 0.7232 0.4792 0.8956
Dy 0.9073 0.3236 0.2356
Y 0.2131 0.6165 0.1783
Y 0.3835 0.5618 0.5966
Y 0.4382 0.0348 0.8217
Y 0.7500 0.2500 0.5000
Y 0.9652 0.7869 0.4034

# Tb2Dy5Y6
Computed PXRD pattern, λ = 1.5418 Å (Cu Kα). Input: the GGA-PBE geometry in Alexandria.

Main lines, sorted by position (10° ≤ 2θ ≤ 80°):
2theta, I_rel
30.61, 340
30.97, 568
31.56, 631
31.87, 1000
32.21, 963
34.33, 360
36.63, 371
61.47, 319

Structure:
Cell: 11.6675 20.2686 3.5766 Å, 90.00 90.00 90.00°
Sites, in units of the cell vectors:
Tb 0.1675 0.2098 0.0000
Tb 0.3325 0.7098 0.0000
Tb 0.6675 0.2902 0.0000
Tb 0.8325 0.7902 0.0000
Dy 0.0000 0.5000 0.5000
Dy 0.0888 0.7726 0.5000
Dy 0.1993 0.0491 0.5000
Dy 0.3007 0.5491 0.5000
Dy 0.4112 0.2726 0.5000
Dy 0.5000 0.0000 0.5000
Dy 0.5888 0.7274 0.5000
Dy 0.6993 0.4509 0.5000
Dy 0.8007 0.9509 0.5000
Dy 0.9112 0.2274 0.5000
Y 0.0573 0.9189 0.0000
Y 0.0838 0.6306 0.0000
Y 0.1743 0.3650 0.5000
Y 0.3257 0.8650 0.5000
Y 0.4162 0.1306 0.0000
Y 0.4427 0.4189 0.0000
Y 0.5573 0.5811 0.0000
Y 0.5838 0.8694 0.0000
Y 0.6743 0.1350 0.5000
Y 0.8257 0.6350 0.5000
Y 0.9162 0.3694 0.0000
Y 0.9427 0.0811 0.0000

# Tb4Dy2Y7
Computed PXRD pattern, λ = 1.5418 Å (Cu Kα). Input: the GGA-PBE geometry in Alexandria.

Main lines, sorted by position (10° ≤ 2θ ≤ 80°):
2theta, I_rel
30.73, 1000
35.61, 336
35.68, 167
51.23, 119
51.31, 235
60.91, 140
61.02, 243
64.03, 90

Structure:
Cell: 6.1637 7.9644 9.4347 Å, 65.09 83.81 82.56°
Sites, in units of the cell vectors:
Tb 0.0396 0.4244 0.3463
Tb 0.1925 0.1166 0.7308
Tb 0.8075 0.8834 0.2692
Tb 0.9604 0.5756 0.6537
Dy 0.3465 0.8088 0.1150
Dy 0.6535 0.1912 0.8850
Y 0.1142 0.2685 0.0381
Y 0.2680 0.9618 0.4231
Y 0.4229 0.6538 0.8080
Y 0.5000 0.5000 0.5000
Y 0.5771 0.3462 0.1920
Y 0.7320 0.0382 0.5769
Y 0.8858 0.7315 0.9619

# Tb3DyY3
Computed PXRD pattern, λ = 1.5418 Å (Cu Kα). Input: the GGA-PBE geometry in Alexandria.

Main lines, sorted by position (10° ≤ 2θ ≤ 80°):
2theta, I_rel
29.52, 242
31.51, 1000
34.61, 517
38.57, 128
51.08, 227
54.02, 160
60.07, 131
61.26, 365

Structure:
Cell: 14.6492 14.6492 14.6492 Å, 24.41 24.41 24.41°
Sites, in units of the cell vectors:
Tb 0.1330 0.4641 0.8014
Tb 0.1986 0.8670 0.5359
Tb 0.4641 0.8014 0.1330
Tb 0.5359 0.1986 0.8670
Tb 0.8014 0.1330 0.4641
Tb 0.8670 0.5359 0.1986
Dy 0.3333 0.3333 0.3333
Dy 0.6667 0.6667 0.6667
Y 0.0661 0.7327 0.4000
Y 0.2673 0.6000 0.9339
Y 0.4000 0.0661 0.7327
Y 0.6000 0.9339 0.2673
Y 0.7327 0.4000 0.0661
Y 0.9339 0.2673 0.6000